Record 1
# PmDySiPt
Theoretical powder X-ray diffraction pattern, λ = 1.5418 Å (Cu Kα). Input: a DFT-relaxed cell (PBE, Alexandria).

Principal peaks in the range 2θ = 15–90°, by intensity:
2θ/deg	intensity
31.79	100
39.62	53
33.04	34
32.79	27
63.90	26
16.23	24
43.28	21
39.41	21
44.62	20
55.50	16

Structural model:
a = 4.181 Å, b = 4.062 Å, c = 10.925 Å
α = 90.00°, β = 90.00°, γ = 90.00°
Space group Amm2 (No. 38)
Asymmetric unit:
Pm 0.000 0.000 0.000
Dy 0.500 0.000 0.720
Si 0.500 0.000 0.429
Pt 0.000 0.000 0.278

***

Record 2
# Pr5AlSi2
Theoretical powder X-ray diffraction pattern, λ = 1.5418 Å (Cu Kα). Input: a DFT-relaxed cell (PBE, Alexandria).

Principal peaks in the range 2θ = 15–90°, by intensity:
2θ/deg	intensity
31.34	100
33.59	68
25.85	47
35.78	42
51.12	31
55.34	26
31.90	24
25.63	22
47.67	21
51.29	21

Structural model:
a = 7.936 Å, b = 7.936 Å, c = 14.415 Å
α = 90.00°, β = 90.00°, γ = 90.00°
Space group I4/mcm (No. 140)
Asymmetric unit:
Pr 0.000 0.000 0.000
Pr 0.179 0.321 0.142
Al 0.000 0.000 0.250
Si 0.113 0.387 0.500

***

Record 3
# PmDy2Ho6Sc
Theoretical powder X-ray diffraction pattern, λ = 1.5418 Å (Cu Kα). Input: a DFT-relaxed cell (PBE, Alexandria).

Principal peaks in the range 2θ = 15–90°, by intensity:
2θ/deg	intensity
31.76	100
30.89	61
31.27	48
28.99	42
34.59	39
32.08	33
32.92	22
28.60	18
60.11	15
47.41	14

Structural model:
a = 9.033 Å, b = 14.808 Å, c = 9.375 Å
α = 90.00°, β = 96.92°, γ = 90.00°
Space group C2/c (No. 15)
Asymmetric unit:
Pm 0.000 0.024 0.250
Dy 0.246 0.448 0.452
Ho 0.061 0.187 0.944
Ho 0.099 0.392 0.115
Ho 0.215 0.222 0.311
Sc 0.000 0.414 0.750